(1)
For AcPuSbO2, a crystal structure in Alexandria, relaxed with PBE gives the calculated powder XRD pattern in this record (λ = 1.5418 Å (Cu Kα)).

Cell lengths 4.0328, 4.0328, 13.6153 Å; angles 90.00, 90.00, 90.00 degrees
Fractional positions:
Ac1 0.0000 0.0000 0.0000
Ac2 0.5000 0.5000 0.5000
Pu1 0.0000 0.0000 0.3130
Pu2 0.5000 0.5000 0.8130
Sb1 0.0000 0.0000 0.6656
Sb2 0.5000 0.5000 0.1656
O1 0.0000 0.5000 0.3957
O2 0.0000 0.5000 0.8957
O3 0.5000 0.0000 0.3957
O4 0.5000 0.0000 0.8957

Principal peaks in the range 2θ from 5° to 70°, by angle:
| two_theta | I (rel.) |
| --- | --- |
| 23.0 | 96 |
| 29.6 | 1000 |
| 31.4 | 395 |
| 39.7 | 93 |
| 41.3 | 71 |
| 45.0 | 187 |
| 51.5 | 218 |
| 52.2 | 48 |
| 54.8 | 368 |
| 61.5 | 107 |
| 65.5 | 61 |
| 65.9 | 79 |

***

(2)
For Ca2ReF8, a crystal structure in Alexandria, relaxed with PBE gives the calculated powder XRD pattern in this record (λ = 1.5418 Å (Cu Kα)).

Cell lengths 6.4108, 6.4108, 6.4108 Å; angles 128.70, 128.70, 75.49 degrees
Fractional positions:
Ca1 0.2500 0.7500 0.5000
Ca2 0.7500 0.2500 0.5000
Re1 0.0000 0.0000 0.0000
F1 0.0957 0.0957 0.4332
F2 0.0957 0.6625 0.0000
F3 0.3375 0.3375 0.4332
F4 0.3375 0.9043 0.0000
F5 0.6625 0.0957 0.0000
F6 0.6625 0.6625 0.5668
F7 0.9043 0.3375 0.0000
F8 0.9043 0.9043 0.5668

Principal peaks in the range 2θ from 5° to 70°, by angle:
| two_theta | I (rel.) |
| --- | --- |
| 18.2 | 1000 |
| 22.7 | 72 |
| 28.8 | 555 |
| 31.0 | 163 |
| 37.3 | 201 |
| 45.3 | 182 |
| 46.3 | 157 |
| 48.7 | 282 |
| 55.4 | 169 |
| 58.8 | 86 |
| 59.6 | 91 |
| 60.9 | 102 |

***

(3)
For Ce7InSi5, a crystal structure in Alexandria, relaxed with PBE gives the calculated powder XRD pattern in this record (λ = 1.5418 Å (Cu Kα)).

Cell lengths 7.8740, 7.8740, 7.8740 Å; angles 135.92, 95.91, 100.29 degrees
Fractional positions:
Ce1 0.0000 0.0000 0.0000
Ce2 0.0137 0.6964 0.3173
Ce3 0.3735 0.3735 0.0000
Ce4 0.3791 0.6964 0.6827
Ce5 0.4824 0.1500 0.3324
Ce6 0.8176 0.1500 0.6676
Ce7 0.8652 0.3652 0.5000
In1 0.6829 0.6829 0.0000
Si1 0.1756 0.2201 0.5338
Si2 0.1756 0.6418 0.9555
Si3 0.4153 0.9153 0.5000
Si4 0.6863 0.2201 0.0445
Si5 0.6863 0.6418 0.4662

Principal peaks in the range 2θ from 5° to 70°, by angle:
| two_theta | I (rel.) |
| --- | --- |
| 24.4 | 457 |
| 29.6 | 1000 |
| 30.2 | 815 |
| 30.6 | 580 |
| 34.6 | 757 |
| 35.1 | 631 |
| 35.6 | 276 |
| 38.5 | 242 |
| 39.2 | 603 |
| 46.4 | 320 |
| 46.9 | 281 |
| 61.4 | 282 |

***

(4)
For Cd2InPd7, a crystal structure in Alexandria, relaxed with PBE gives the calculated powder XRD pattern in this record (λ = 1.5418 Å (Cu Kα)).

Cell lengths 9.0998, 9.0998, 2.8527 Å; angles 90.00, 90.00, 124.59 degrees
Fractional positions:
Cd1 0.1762 0.8238 0.0000
Cd2 0.8238 0.1762 0.0000
In1 0.5000 0.5000 0.5000
Pd1 0.0000 0.0000 0.0000
Pd2 0.1877 0.3657 0.0000
Pd3 0.3206 0.6794 0.5000
Pd4 0.3657 0.1877 0.0000
Pd5 0.6343 0.8123 0.0000
Pd6 0.6794 0.3206 0.5000
Pd7 0.8123 0.6343 0.0000

Principal peaks in the range 2θ from 5° to 70°, by angle:
| two_theta | I (rel.) |
| --- | --- |
| 11.0 | 200 |
| 21.0 | 159 |
| 23.8 | 181 |
| 30.6 | 247 |
| 31.4 | 163 |
| 33.6 | 364 |
| 38.0 | 163 |
| 39.8 | 1000 |
| 42.7 | 365 |
| 43.7 | 538 |
| 45.6 | 423 |
| 51.5 | 140 |

***

(5)
For Dy3AlAg4S8, a crystal structure in Alexandria, relaxed with PBE gives the calculated powder XRD pattern in this record (λ = 1.5418 Å (Cu Kα)).

Cell lengths 7.9652, 7.9652, 8.8082 Å; angles 117.55, 117.55, 59.91 degrees
Fractional positions:
Dy1 0.0000 0.0000 0.0000
Dy2 0.0000 0.5000 0.0000
Dy3 0.5000 0.0000 0.0000
Al1 0.5000 0.5000 0.0000
Ag1 0.0000 0.0000 0.5000
Ag2 0.0000 0.5000 0.5000
Ag3 0.5000 0.0000 0.5000
Ag4 0.5000 0.5000 0.5000
S1 0.1025 0.1025 0.8125
S2 0.1338 0.5900 0.8184
S3 0.4096 0.4096 0.1821
S4 0.4100 0.8662 0.1816
S5 0.5900 0.1338 0.8184
S6 0.5904 0.5904 0.8179
S7 0.8662 0.4100 0.1816
S8 0.8975 0.8975 0.1875

Principal peaks in the range 2θ from 5° to 70°, by angle:
| two_theta | I (rel.) |
| --- | --- |
| 23.9 | 396 |
| 26.9 | 495 |
| 27.1 | 1000 |
| 30.4 | 369 |
| 30.6 | 192 |
| 41.3 | 186 |
| 41.8 | 352 |
| 45.6 | 486 |
| 48.4 | 272 |
| 48.9 | 211 |
| 53.8 | 139 |
| 69.1 | 144 |

***

Question: What is the formula in the third record?
Answer: Ce7InSi5